Entry 1:
Starting from a DFT-relaxed cell (PBE, Alexandria), the powder X-ray diffraction pattern of PrThMnN4 was computed for Cu Kα X-rays.

Peak list (10 most intense, 10° ≤ 2θ ≤ 80°, most intense first)
2θ/deg, I (rel.)
31.8, 100
34.0, 57
24.9, 38
59.5, 35
44.4, 28
48.9, 25
27.7, 17
55.2, 15
55.8, 15
77.3, 12

Cell: 6.9491 6.9491 6.9491 Å, 148.88 148.88 44.59°
Element x y z (fractional)
Pr 0.0000 0.0000 0.0000
Th 0.7114 0.7114 0.0000
Mn 0.3533 0.3533 0.0000
N 0.1893 0.1893 0.0000
N 0.3517 0.8517 0.5000
N 0.5307 0.5307 0.0000
N 0.8517 0.3517 0.5000



Entry 2:
Starting from a DFT-relaxed cell (PBE, Alexandria), the powder X-ray diffraction pattern of Mn12Pt4N was computed for Cu Kα X-rays.

Peak list (10 most intense, 10° ≤ 2θ ≤ 80°, most intense first)
2θ/deg, I (rel.)
43.8, 100
44.0, 77
40.7, 57
27.8, 48
27.7, 35
43.4, 32
33.1, 30
19.0, 28
38.6, 26
38.3, 24

Cell: 4.4369 5.3701 9.3918 Å, 90.00 90.59 90.00°
Element x y z (fractional)
Mn 0.2363 0.0000 0.1699
Mn 0.2484 0.2520 0.9097
Mn 0.2484 0.7480 0.9097
Mn 0.2502 0.2510 0.4114
Mn 0.2502 0.7490 0.4114
Mn 0.2514 0.5000 0.6633
Mn 0.7486 0.5000 0.3367
Mn 0.7498 0.2510 0.5886
Mn 0.7498 0.7490 0.5886
Mn 0.7516 0.2520 0.0903
Mn 0.7516 0.7480 0.0903
Mn 0.7637 0.0000 0.8301
Pt 0.2412 0.5000 0.1639
Pt 0.2510 0.0000 0.6593
Pt 0.7490 0.0000 0.3407
Pt 0.7588 0.5000 0.8361
N 0.5000 0.0000 0.0000



Entry 3:
Starting from a DFT-relaxed cell (PBE, Alexandria), the powder X-ray diffraction pattern of Mn21Pt2N6 was computed for Cu Kα X-rays.

Peak list (10 most intense, 10° ≤ 2θ ≤ 80°, most intense first)
2θ/deg, I (rel.)
38.3, 100
44.8, 86
42.1, 85
49.0, 44
76.9, 41
23.9, 38
58.2, 30
74.4, 29
16.9, 27
51.4, 21

Cell: 7.4360 7.4360 7.4360 Å, 60.00 60.00 60.00°
Element x y z (fractional)
Mn 0.0000 0.0000 0.0000
Mn 0.0000 0.0000 0.3280
Mn 0.0000 0.0000 0.6720
Mn 0.0000 0.3280 0.0000
Mn 0.0000 0.3280 0.6720
Mn 0.0000 0.6720 0.0000
Mn 0.0000 0.6720 0.3280
Mn 0.1611 0.6130 0.6130
Mn 0.3280 0.0000 0.0000
Mn 0.3280 0.0000 0.6720
Mn 0.3280 0.6720 0.0000
Mn 0.3870 0.3870 0.3870
Mn 0.3870 0.3870 0.8389
Mn 0.3870 0.8389 0.3870
Mn 0.6130 0.1611 0.6130
Mn 0.6130 0.6130 0.1611
Mn 0.6130 0.6130 0.6130
Mn 0.6720 0.0000 0.0000
Mn 0.6720 0.0000 0.3280
Mn 0.6720 0.3280 0.0000
Mn 0.8389 0.3870 0.3870
Pt 0.2500 0.2500 0.2500
Pt 0.7500 0.7500 0.7500
N 0.2740 0.2740 0.7260
N 0.2740 0.7260 0.2740
N 0.2740 0.7260 0.7260
N 0.7260 0.2740 0.2740
N 0.7260 0.2740 0.7260
N 0.7260 0.7260 0.2740



Entry 4:
Starting from a DFT-relaxed cell (PBE, Alexandria), the powder X-ray diffraction pattern of Mn2VPtN was computed for Cu Kα X-rays.

Peak list (10 most intense, 10° ≤ 2θ ≤ 80°, most intense first)
2θ/deg, I (rel.)
39.7, 100
32.2, 52
46.1, 37
22.6, 28
67.5, 23
46.4, 18
57.4, 15
52.0, 13
22.7, 11
67.3, 11

Cell: 3.9369 3.9369 3.9163 Å, 90.00 90.00 90.00°
Element x y z (fractional)
Mn 0.0000 0.5000 0.0000
Mn 0.5000 0.0000 0.0000
V 0.0000 0.0000 0.5000
Pt 0.5000 0.5000 0.5000
N 0.0000 0.0000 0.0000



Entry 5:
Starting from a DFT-relaxed cell (PBE, Alexandria), the powder X-ray diffraction pattern of Rb3Mn2N4 was computed for Cu Kα X-rays.

Peak list (10 most intense, 10° ≤ 2θ ≤ 80°, most intense first)
2θ/deg, I (rel.)
28.6, 100
10.7, 47
30.7, 40
27.4, 28
38.4, 23
22.0, 19
37.2, 19
53.3, 17
38.1, 16
50.8, 13

Cell: 9.6723 9.6723 9.6723 Å, 144.94 61.94 130.68°
Element x y z (fractional)
Rb 0.1629 0.0599 0.1029
Rb 0.1985 0.4485 0.7500
Rb 0.4570 0.0599 0.3971
Rb 0.5430 0.9401 0.6029
Rb 0.8015 0.5515 0.2500
Rb 0.8371 0.9401 0.8971
Mn 0.1069 0.6354 0.4715
Mn 0.3361 0.3646 0.9715
Mn 0.6639 0.6354 0.0285
Mn 0.8931 0.3646 0.5285
N 0.1429 0.5685 0.5744
N 0.2002 0.0000 0.7002
N 0.2002 0.5000 0.2002
N 0.4942 0.5685 0.9256
N 0.5058 0.4315 0.0744
N 0.7998 0.0000 0.2998
N 0.7998 0.5000 0.7998
N 0.8571 0.4315 0.4256



Entry 6:
Starting from a DFT-relaxed cell (PBE, Alexandria), the powder X-ray diffraction pattern of Sr2MnReN4 was computed for Cu Kα X-rays.

Peak list (10 most intense, 10° ≤ 2θ ≤ 80°, most intense first)
2θ/deg, I (rel.)
32.8, 100
30.9, 35
29.1, 30
43.0, 27
56.2, 22
19.7, 19
19.1, 19
54.0, 18
68.8, 13
51.0, 12

Cell: 5.7912 7.1648 6.1318 Å, 90.00 90.00 90.00°
Element x y z (fractional)
Sr 0.2500 0.0016 0.2450
Sr 0.2500 0.4984 0.2450
Sr 0.7500 0.5016 0.7550
Sr 0.7500 0.9984 0.7550
Mn 0.2500 0.2500 0.7792
Mn 0.7500 0.7500 0.2208
Re 0.2500 0.7500 0.8020
Re 0.7500 0.2500 0.1980
N 0.0016 0.7500 0.9959
N 0.2500 0.5191 0.6597
N 0.2500 0.9809 0.6597
N 0.4984 0.7500 0.9959
N 0.5016 0.2500 0.0041
N 0.7500 0.0191 0.3403
N 0.7500 0.4809 0.3403
N 0.9984 0.2500 0.0041



Entry 7:
Starting from a DFT-relaxed cell (PBE, Alexandria), the powder X-ray diffraction pattern of Mn2RuN3 was computed for Cu Kα X-rays.

Peak list (10 most intense, 10° ≤ 2θ ≤ 80°, most intense first)
2θ/deg, I (rel.)
39.3, 100
36.5, 48
34.7, 39
37.4, 38
32.5, 26
19.0, 24
59.3, 19
67.6, 19
42.9, 18
71.7, 18

Cell: 5.1875 5.1875 4.9216 Å, 90.00 90.00 64.24°
Element x y z (fractional)
Mn 0.0283 0.6145 0.5000
Mn 0.3855 0.9717 0.5000
Mn 0.6145 0.0283 0.0000
Mn 0.9717 0.3855 0.0000
Ru 0.3578 0.6422 0.9225
Ru 0.6422 0.3578 0.4225
N 0.0566 0.2745 0.3611
N 0.2745 0.0566 0.8611
N 0.2885 0.7115 0.3215
N 0.7115 0.2885 0.8215
N 0.7255 0.9434 0.3611
N 0.9434 0.7255 0.8611



Entry 8:
Starting from a DFT-relaxed cell (PBE, Alexandria), the powder X-ray diffraction pattern of Mn2SN was computed for Cu Kα X-rays.

Peak list (10 most intense, 10° ≤ 2θ ≤ 80°, most intense first)
2θ/deg, I (rel.)
33.5, 100
56.1, 30
44.9, 19
67.1, 12
56.3, 11
66.8, 11
34.8, 9
53.3, 6
39.0, 6
38.7, 6

Cell: 5.6845 5.6845 5.6845 Å, 132.04 132.04 70.17°
Element x y z (fractional)
Mn 0.0605 0.6250 0.9355
Mn 0.3750 0.3105 0.4355
Mn 0.6895 0.1250 0.0645
Mn 0.8750 0.9395 0.5645
S 0.2500 0.7500 0.5000
S 0.5000 0.5000 0.0000
N 0.0000 0.0000 0.0000
N 0.7500 0.2500 0.5000



Entry 9:
Starting from a DFT-relaxed cell (PBE, Alexandria), the powder X-ray diffraction pattern of MnSi2SN was computed for Cu Kα X-rays.

Peak list (10 most intense, 10° ≤ 2θ ≤ 80°, most intense first)
2θ/deg, I (rel.)
17.4, 100
38.6, 67
36.0, 63
42.9, 60
53.2, 59
63.8, 35
46.6, 19
48.7, 17
41.3, 16
44.4, 13

Cell: 10.3294 10.3294 10.3294 Å, 16.23 16.23 16.23°
Element x y z (fractional)
Mn 0.0000 0.0000 0.0000
Si 0.3914 0.3914 0.3914
Si 0.4690 0.4690 0.4690
S 0.6199 0.6199 0.6199
N 0.1534 0.1534 0.1534



Entry 10:
Starting from a DFT-relaxed cell (PBE, Alexandria), the powder X-ray diffraction pattern of Sc3MnN4 was computed for Cu Kα X-rays.

Peak list (10 most intense, 10° ≤ 2θ ≤ 80°, most intense first)
2θ/deg, I (rel.)
41.0, 100
59.5, 38
35.2, 33
35.5, 33
71.3, 13
59.1, 10
59.7, 9
74.5, 9
70.8, 9
75.1, 9

Cell: 5.3726 5.3726 3.1287 Å, 90.00 90.00 109.64°
Element x y z (fractional)
Sc 0.0000 0.0000 0.0000
Sc 0.0000 0.5000 0.5000
Sc 0.5000 0.0000 0.5000
Mn 0.5000 0.5000 0.0000
N 0.2551 0.7449 0.0000
N 0.2630 0.2630 0.5000
N 0.7370 0.7370 0.5000
N 0.7449 0.2551 0.0000



Entry 11:
Starting from a DFT-relaxed cell (PBE, Alexandria), the powder X-ray diffraction pattern of MnSeN was computed for Cu Kα X-rays.

Peak list (10 most intense, 10° ≤ 2θ ≤ 80°, most intense first)
2θ/deg, I (rel.)
34.9, 100
23.8, 66
35.8, 46
35.9, 40
32.0, 37
50.9, 29
47.9, 27
48.3, 24
42.9, 23
42.6, 20

Cell: 11.1969 3.6374 7.2560 Å, 90.00 90.61 90.00°
Element x y z (fractional)
Mn 0.0953 0.2500 0.3764
Mn 0.0953 0.2500 0.8764
Mn 0.9047 0.7500 0.1236
Mn 0.9047 0.7500 0.6236
Se 0.1427 0.7502 0.1272
Se 0.1427 0.7498 0.6272
Se 0.8573 0.2502 0.3728
Se 0.8573 0.2498 0.8728
N 0.4635 0.0501 0.4537
N 0.4635 0.4499 0.9537
N 0.5365 0.5501 0.0463
N 0.5365 0.9499 0.5463



Entry 12:
Starting from a DFT-relaxed cell (PBE, Alexandria), the powder X-ray diffraction pattern of Mn2Si4N7 was computed for Cu Kα X-rays.

Peak list (10 most intense, 10° ≤ 2θ ≤ 80°, most intense first)
2θ/deg, I (rel.)
36.3, 100
36.6, 96
35.9, 77
33.4, 48
38.1, 43
32.2, 38
37.1, 38
42.3, 33
61.1, 32
63.0, 31

Cell: 5.8153 5.8153 9.4571 Å, 90.00 90.00 119.06°
Element x y z (fractional)
Mn 0.1059 0.8941 0.5000
Mn 0.1813 0.8187 0.0755
Mn 0.8187 0.1813 0.5755
Mn 0.8941 0.1059 0.0000
Si 0.1676 0.3096 0.2654
Si 0.3096 0.1676 0.7654
Si 0.3114 0.6886 0.7566
Si 0.4934 0.5066 0.0015
Si 0.5066 0.4934 0.5015
Si 0.6886 0.3114 0.2566
Si 0.6904 0.8324 0.2654
Si 0.8324 0.6904 0.7654
N 0.0047 0.4578 0.1882
N 0.0166 0.9834 0.2072
N 0.1862 0.3117 0.4469
N 0.3117 0.1862 0.9469
N 0.3312 0.6688 0.9383
N 0.4578 0.0047 0.6882
N 0.4892 0.5108 0.6941
N 0.5108 0.4892 0.1941
N 0.5422 0.9953 0.1882
N 0.6688 0.3312 0.4383
N 0.6883 0.8138 0.4469
N 0.8138 0.6883 0.9469
N 0.9834 0.0166 0.7072
N 0.9953 0.5422 0.6882